Ba2LaTaO6: calculated XRD peak list (λ = 1.5418 Å (Cu Kα)), based on a PBE-relaxed structure.
Kinematic intensities with the Lorentz-polarization factor, no thermal factor.

Peak list (8 most intense, 2θ from 10° to 90°, in order of rising 2θ)
| two_theta | I/Imax |
| --- | --- |
| 28.8 | 33 |
| 28.9 | 68 |
| 29.1 | 100 |
| 41.3 | 37 |
| 41.6 | 17 |
| 51.3 | 28 |
| 51.5 | 29 |
| 68.1 | 19 |

```
10
Lattice="5.3114 -3.0743 0.0000 5.3114 3.0743 0.0000 -3.5715 0.0000 5.0793" Properties=species:S:1:pos:R:3 pbc="T T T"
Ba 1.7742 0.0000 1.2248
Ba 5.2770 0.0000 3.8546
La -1.7858 0.0000 2.5397
Ta 5.3114 0.0000 0.0000
O 4.2390 1.4226 0.9577
O 0.3819 0.0000 3.5796
O 2.8122 1.4226 4.1216
O 4.2390 -1.4226 0.9577
O 6.6694 0.0000 1.4997
O 2.8122 -1.4226 4.1216
```